1.
Theoretical powder diffraction line list
Compound: Ac3Hf4Fe
Radiation: Cu Ka
Structure: a cell relaxed with PBE

Largest 6 diffraction maxima, most intense first, 2θ = 5–70°:
hkl 2 0 0, 2θ 28.9, 3.087 Å, rel. 100
hkl 2 2 0, 2θ 41.4, 2.182 Å, rel. 77
hkl 4 2 0, 2θ 67.9, 1.380 Å, rel. 36
hkl 2 2 2, 2θ 51.3, 1.782 Å, rel. 28
hkl 4 0 0, 2θ 59.9, 1.543 Å, rel. 13
hkl 1 0 0, 2θ 14.3, 6.173 Å, rel. 6

Cell and atoms:
a b c (Å): 6.1730 6.1730 6.1730
angles (deg): 90.00 90.00 90.00
Space group Pm-3m (No. 221)
Symmetry-distinct sites (fractional):
Ac 0.0000 0.0000 0.5000 x3
Hf 0.0000 0.0000 0.0000 x1
Hf 0.0000 0.5000 0.5000 x3
Fe 0.5000 0.5000 0.5000 x1

=====

2.
Theoretical powder diffraction line list
Compound: SmP4HO12
Radiation: Cu Ka
Structure: a cell relaxed with PBE

Largest 6 diffraction maxima, most intense first, 2θ = 5–70°:
hkl 0 2 0, 2θ 23.2, 3.836 Å, rel. 100
hkl 0 1 -1, 2θ 13.5, 6.577 Å, rel. 77
hkl 1 0 -2, 2θ 20.9, 4.242 Å, rel. 73
hkl 2 -1 0, 2θ 27.3, 3.270 Å, rel. 65
hkl 1 -1 1, 2θ 20.5, 4.339 Å, rel. 63
hkl 0 1 -3, 2θ 33.0, 2.715 Å, rel. 63

Cell and atoms:
a b c (Å): 7.0613 8.4840 8.7949
angles (deg): 99.34 112.13 107.72
Space group P-1 (No. 2)
Symmetry-distinct sites (fractional):
Sm 0.0884 0.2575 0.2590 x2
P 0.0870 0.3906 0.6616 x2
P 0.2160 0.1985 0.8948 x2
P 0.3827 0.7149 0.4210 x2
P 0.4248 0.8721 0.1547 x2
H 0.4750 0.8513 0.7461 x2
O 0.0520 0.0332 0.7505 x2
O 0.1105 0.5758 0.6954 x2
O 0.1713 0.7442 0.4262 x2
O 0.1831 0.3660 0.8503 x2
O 0.1841 0.8029 0.0325 x2
O 0.1865 0.3222 0.5571 x2
O 0.2401 0.2115 0.0720 x2
O 0.3142 0.5403 0.3002 x2
O 0.4326 0.9337 0.8122 x2
O 0.4454 0.2297 0.3940 x2
O 0.4631 0.2391 0.9093 x2
O 0.4722 0.8654 0.3442 x2

=====

3.
Theoretical powder diffraction line list
Compound: FeB4
Radiation: Cu Ka
Structure: a cell relaxed with PBE

Largest 5 diffraction maxima, most intense first, 2θ = 5–70°:
hkl 1 1 1, 2θ 29.8, 2.998 Å, rel. 100
hkl 3 1 1, 2θ 59.0, 1.566 Å, rel. 79
hkl 2 0 0, 2θ 34.5, 2.596 Å, rel. 78
hkl 2 2 0, 2θ 49.7, 1.836 Å, rel. 51
hkl 2 2 2, 2θ 61.9, 1.499 Å, rel. 20

Cell and atoms:
a b c (Å): 5.1930 5.1930 5.1930
angles (deg): 90.00 90.00 90.00
Space group F-43m (No. 216)
Symmetry-distinct sites (fractional):
Fe 0.0000 0.0000 0.0000 x4
B 0.1231 0.1231 0.6231 x16

=====

4.
Theoretical powder diffraction line list
Compound: LiP2Pd4
Radiation: Cu Ka
Structure: a cell relaxed with PBE

Largest 6 diffraction maxima, most intense first, 2θ = 5–70°:
hkl 1 3 1, 2θ 37.3, 2.408 Å, rel. 100
hkl 0 2 0, 2θ 13.9, 6.358 Å, rel. 54
hkl 2 0 0, 2θ 43.8, 2.068 Å, rel. 42
hkl 1 5 1, 2θ 47.4, 1.919 Å, rel. 22
hkl 1 1 1, 2θ 31.4, 2.851 Å, rel. 20
hkl 2 6 0, 2θ 62.8, 1.480 Å, rel. 16

Cell and atoms:
a b c (Å): 4.1356 12.7170 4.1384
angles (deg): 90.00 90.00 90.00
Space group Cmmm (No. 65)
Symmetry-distinct sites (fractional):
Li 0.0000 0.0000 0.0000 x2
P 0.0000 0.4145 0.5000 x4
Pd 0.0000 0.1706 0.5000 x4
Pd 0.0000 0.3328 0.0000 x4

=====

5.
Theoretical powder diffraction line list
Compound: Cu2P7
Radiation: Cu Ka
Structure: a cell relaxed with PBE

Largest 6 diffraction maxima, most intense first, 2θ = 5–70°:
hkl 2 2 -2, 2θ 29.5, 3.025 Å, rel. 100
hkl 0 0 5, 2θ 32.1, 2.792 Å, rel. 43
hkl 2 2 -7, 2θ 50.4, 1.812 Å, rel. 42
hkl 4 0 1, 2θ 32.1, 2.785 Å, rel. 37
hkl 6 2 -1, 2θ 50.5, 1.808 Å, rel. 30
hkl 6 2 -6, 2θ 56.7, 1.624 Å, rel. 22

Cell and atoms:
a b c (Å): 12.6705 7.2732 14.6330
angles (deg): 90.00 107.47 90.00
Space group C2/m (No. 12)
Symmetry-distinct sites (fractional):
Cu 0.0341 0.0000 0.3527 x4
Cu 0.1162 0.5000 0.7941 x4
Cu 0.1564 0.0000 0.9672 x4
Cu 0.2185 0.5000 0.4273 x4
P 0.0184 0.2539 0.5785 x8
P 0.0284 0.5000 0.3546 x4
P 0.0924 0.2650 0.0192 x8
P 0.1050 0.0000 0.7971 x4
P 0.1179 0.3430 0.1709 x8
P 0.1535 0.5000 0.9567 x4
P 0.2010 0.2423 0.6227 x8
P 0.2057 0.2347 0.7768 x8
P 0.2239 0.0000 0.4067 x4

=====

6.
Theoretical powder diffraction line list
Compound: Ba2GdC2O6F3
Radiation: Cu Ka
Structure: a cell relaxed with PBE

Largest 6 diffraction maxima, most intense first, 2θ = 5–70°:
hkl 1 1 3, 2θ 27.8, 3.210 Å, rel. 100
hkl 2 1 1, 2θ 24.1, 3.695 Å, rel. 89
hkl 3 1 1, 2θ 32.2, 2.780 Å, rel. 54
hkl 0 2 0, 2θ 25.9, 3.443 Å, rel. 37
hkl 1 3 3, 2θ 46.8, 1.940 Å, rel. 34
hkl 4 0 2, 2θ 41.2, 2.191 Å, rel. 28

Cell and atoms:
a b c (Å): 9.4392 6.8852 11.7888
angles (deg): 90.00 90.00 90.00
Space group Pbcn (No. 60)
Symmetry-distinct sites (fractional):
Ba 0.1210 0.2402 0.0709 x8
Gd 0.0000 0.2268 0.7500 x4
C 0.1943 0.4779 0.3225 x8
O 0.0867 0.4823 0.8874 x8
O 0.1894 0.4578 0.7183 x8
O 0.2006 0.1200 0.8594 x8
F 0.0000 0.1057 0.2500 x4
F 0.0970 0.1510 0.5747 x8

=====

7.
Theoretical powder diffraction line list
Compound: FeSi17Ge13P
Radiation: Cu Ka
Structure: a cell relaxed with PBE

Largest 6 diffraction maxima, most intense first, 2θ = 5–70°:
hkl 1 1 0, 2θ 27.9, 3.201 Å, rel. 100
hkl 1 0 8, 2θ 28.0, 3.188 Å, rel. 100
hkl 2 1 8, 2θ 46.4, 1.957 Å, rel. 91
hkl 1 2 8, 2θ 55.0, 1.671 Å, rel. 42
hkl 3 0 -8, 2θ 55.1, 1.666 Å, rel. 38
hkl 0 2 0, 2θ 46.3, 1.962 Å, rel. 24

Cell and atoms:
a b c (Å): 5.5354 3.9245 31.1990
angles (deg): 90.00 90.01 90.00
Space group Pm (No. 6)
Symmetry-distinct sites (fractional):
Fe 0.0000 0.0000 0.0000 x1
Si 0.2062 0.5000 0.6275 x1
Si 0.2127 0.5000 0.1234 x1
Si 0.2164 0.5000 0.3771 x1
Si 0.4603 0.5000 0.9442 x1
Si 0.4611 0.5000 0.1849 x1
Si 0.4649 0.5000 0.6873 x1
Si 0.4664 0.5000 0.4377 x1
Si 0.7024 0.0000 0.1857 x1
Si 0.7048 0.0000 0.4390 x1
Si 0.7068 0.0000 0.6882 x1
Si 0.7146 0.0000 0.9484 x1
Si 0.7159 0.0000 0.8136 x1
Si 0.7293 0.0000 0.0532 x1
Si 0.9521 0.0000 0.2471 x1
Si 0.9519 0.0000 0.7505 x1
Si 0.9547 0.0000 0.4998 x1
Si 0.9659 0.0000 0.6279 x1
Ge 0.2034 0.5000 0.2474 x1
Ge 0.2050 0.5000 0.4991 x1
Ge 0.2050 0.5000 0.7495 x1
Ge 0.2149 0.5000 0.8799 x1
Ge 0.4533 0.5000 0.3129 x1
Ge 0.4543 0.5000 0.5644 x1
Ge 0.4633 0.5000 0.0594 x1
Ge 0.4636 0.5000 0.8140 x1
Ge 0.7163 0.0000 0.3118 x1
Ge 0.7184 0.0000 0.5643 x1
Ge 0.9440 0.0000 0.8802 x1
Ge 0.9560 0.0000 0.1217 x1
Ge 0.9664 0.0000 0.3773 x1
P 0.1802 0.5000 0.9999 x1

=====

8.
Theoretical powder diffraction line list
Compound: NbCdPdAu
Radiation: Cu Ka
Structure: a cell relaxed with PBE

Largest 6 diffraction maxima, most intense first, 2θ = 5–70°:
hkl 2 2 0, 2θ 38.9, 2.318 Å, rel. 100
hkl 4 0 0, 2θ 56.1, 1.639 Å, rel. 17
hkl 1 1 1, 2θ 23.5, 3.785 Å, rel. 6
hkl 2 0 0, 2θ 27.2, 3.278 Å, rel. 5
hkl 3 1 1, 2θ 45.9, 1.976 Å, rel. 4
hkl 4 2 0, 2θ 63.5, 1.466 Å, rel. 2

Cell and atoms:
a b c (Å): 6.5551 6.5551 6.5551
angles (deg): 90.00 90.00 90.00
Space group F-43m (No. 216)
Symmetry-distinct sites (fractional):
Nb 0.0000 0.0000 0.0000 x4
Cd 0.2500 0.2500 0.2500 x4
Pd 0.0000 0.0000 0.5000 x4
Au 0.2500 0.2500 0.7500 x4

=====

Q: Number 5 is which compound?
A: Cu2P7